[1]
Computed powder diffractogram
Compound: Co5Ge7
Radiation: Cu Ka
Structure: a GGA-PBE-relaxed structure
Intensities are scaled so that the largest is 100.

Most intense lines, 10 to 90 degrees two-theta, by angle:
Position (°2θ), I/Imax, index
18.68, 23, 1 0 1
29.45, 45, 2 1 1
32.12, 13, 2 2 0
34.16, 10, 1 1 2
37.89, 13, 2 0 2
44.13, 28, 3 2 1
44.55, 100, 2 2 2
46.06, 61, 4 0 0
47.25, 10, 1 0 3
67.19, 19, 4 4 0
80.98, 11, 4 0 4
84.23, 26, 6 2 2

Structural model:
```
data_Co5Ge7
_symmetry_space_group_name_H-M 'I 4 m m'
_symmetry_Int_Tables_number 107
_symmetry_space_group_name_Hall 'I 4 -2'
_cell_length_a 7.883
_cell_length_b 7.883
_cell_length_c 5.950
_cell_angle_alpha 90.00
_cell_angle_beta 90.00
_cell_angle_gamma 90.00
loop_
_atom_site_label
_atom_site_type_symbol
_atom_site_fract_x
_atom_site_fract_y
_atom_site_fract_z
_atom_site_occupancy
Co1 Co 0.000 0.000 0.000 1
Co2 Co 0.233 0.233 0.942 1
Ge1 Ge 0.000 0.000 0.624 1
Ge2 Ge 0.000 0.242 0.236 1
Ge3 Ge 0.000 0.500 0.479 1
```



[2]
Computed powder diffractogram
Compound: Co5Ge3
Radiation: Cu Ka
Structure: a GGA-PBE-relaxed structure
Intensities are scaled so that the largest is 100.

Most intense lines, 10 to 90 degrees two-theta, by angle:
Position (°2θ), I/Imax, index
31.47, 13, 0 2 1
32.24, 14, 1 1 -2
33.12, 13, 0 0 2
45.04, 56, 5 1 -1
45.31, 56, 4 2 -2
45.44, 54, 3 1 -3
46.84, 50, 2 0 2
47.03, 100, 1 3 1
66.90, 14, 6 2 0
67.41, 14, 4 4 -2
67.52, 13, 2 2 -4
86.38, 13, 3 5 -3

Structural model:
```
data_Co5Ge3
_symmetry_space_group_name_H-M 'C 1 2 1'
_symmetry_Int_Tables_number 5
_cell_length_a 10.761
_cell_length_b 6.685
_cell_length_c 6.296
_cell_angle_alpha 90.00
_cell_angle_beta 120.84
_cell_angle_gamma 90.00
loop_
_symmetry_equiv_pos_as_xyz
'x,y,z'
'-x,y,-z'
'x+1/2,y+1/2,z'
'-x+1/2,y+1/2,-z'
loop_
_atom_site_label
_atom_site_type_symbol
_atom_site_fract_x
_atom_site_fract_y
_atom_site_fract_z
_atom_site_occupancy
Co1 Co 0.076 0.000 0.403 1
Co2 Co 0.079 0.491 0.908 1
Co3 Co 0.170 0.658 0.339 1
Co4 Co 0.170 0.827 0.827 1
Co5 Co 0.247 0.992 0.244 1
Ge1 Ge 0.000 0.624 0.500 1
Ge2 Ge 0.000 0.853 0.000 1
Ge3 Ge 0.147 0.309 0.296 1
Ge4 Ge 0.152 0.177 0.800 1
```



[3]
Computed powder diffractogram
Compound: Co10Ge
Radiation: Cu Ka
Structure: a GGA-PBE-relaxed structure
Intensities are scaled so that the largest is 100.

Most intense lines, 10 to 90 degrees two-theta, by angle:
Position (°2θ), I/Imax, index
11.82, 25, 0 0 4
43.70, 95, 1 1 11
44.26, 50, 3 1 -3
45.01, 100, 3 1 -4
45.97, 13, 3 1 -5
46.18, 64, 1 1 12
51.39, 59, 2 0 -15
52.32, 50, 0 2 0
52.84, 26, 4 0 8
54.34, 13, 2 0 -16
76.36, 37, 2 2 -15
77.53, 23, 4 2 8

Structural model:
```
data_Co10Ge
_symmetry_space_group_name_H-M 'C 1 2/m 1'
_symmetry_Int_Tables_number 12
_cell_length_a 7.822
_cell_length_b 3.499
_cell_length_c 29.938
_cell_angle_alpha 90.00
_cell_angle_beta 90.05
_cell_angle_gamma 90.00
loop_
_symmetry_equiv_pos_as_xyz
'x,y,z'
'-x,-y,-z'
'-x,y,-z'
'x,-y,z'
'x+1/2,y+1/2,z'
'-x+1/2,-y+1/2,-z'
'-x+1/2,y+1/2,-z'
'x+1/2,-y+1/2,z'
loop_
_atom_site_label
_atom_site_type_symbol
_atom_site_fract_x
_atom_site_fract_y
_atom_site_fract_z
_atom_site_occupancy
Co1 Co 0.049 0.000 0.408 1
Co2 Co 0.050 0.000 0.672 1
Co3 Co 0.050 0.500 0.539 1
Co4 Co 0.052 0.500 0.277 1
Co5 Co 0.150 0.000 0.487 1
Co6 Co 0.150 0.000 0.750 1
Co7 Co 0.150 0.500 0.355 1
Co8 Co 0.151 0.500 0.618 1
Co9 Co 0.244 0.500 0.697 1
Co10 Co 0.250 0.000 0.566 1
Ge1 Ge 0.147 0.000 0.224 1
```



[4]
Computed powder diffractogram
Compound: Co17Ge
Radiation: Cu Ka
Structure: a GGA-PBE-relaxed structure
Intensities are scaled so that the largest is 100.

Most intense lines, 10 to 90 degrees two-theta, by angle:
Position (°2θ), I/Imax, index
11.28, 21, 0 0 4
43.24, 31, 0 0 15
43.79, 20, 2 0 4
44.68, 100, 2 0 5
45.75, 39, 2 0 6
46.28, 19, 0 0 16
49.95, 8, 0 2 9
51.64, 60, 0 2 10
53.47, 30, 0 2 11
75.02, 14, 2 0 20
77.10, 27, 2 2 0
77.93, 13, 2 0 21

Structural model:
```
data_Co17Ge
_symmetry_space_group_name_H-M 'P -3 m 1'
_symmetry_Int_Tables_number 164
_symmetry_space_group_name_Hall '-P 3 2"'
_cell_length_a 4.9493
_cell_length_b 4.9493
_cell_length_c 31.3859
_cell_angle_alpha 90.00
_cell_angle_beta 90.00
_cell_angle_gamma 120.00
loop_
_atom_site_label
_atom_site_type_symbol
_atom_site_fract_x
_atom_site_fract_y
_atom_site_fract_z
_atom_site_occupancy
Co1 Co 0.0000 0.0000 0.0000 1
Co2 Co 0.0000 0.0000 0.1944 1
Co3 Co 0.0000 0.5000 0.0000 1
Co4 Co 0.0035 0.5018 0.8053 1
Co5 Co 0.1665 0.3330 0.1296 1
Co6 Co 0.1665 0.3330 0.9350 1
Co7 Co 0.1669 0.3338 0.7416 1
Co8 Co 0.3333 0.6667 0.0649 1
Co9 Co 0.3333 0.6667 0.8691 1
Ge1 Ge 0.3333 0.6667 0.2662 1
```



[5]
Computed powder diffractogram
Compound: Co7Ge2
Radiation: Cu Ka
Structure: a GGA-PBE-relaxed structure
Intensities are scaled so that the largest is 100.

Most intense lines, 10 to 90 degrees two-theta, by angle:
Position (°2θ), I/Imax, index
11.46, 22, 0 0 4
41.90, 19, 1 0 4
42.86, 100, 1 0 5
43.99, 64, 0 0 15
47.09, 15, 0 0 16
50.24, 58, 0 1 10
52.17, 28, 0 1 11
73.01, 28, 1 1 0
74.60, 13, 1 0 20
77.62, 12, 1 0 21
88.53, 11, 0 2 5
89.31, 23, 1 1 15

Structural model:
```
data_Co7Ge2
_symmetry_space_group_name_H-M 'P -3 m 1'
_symmetry_Int_Tables_number 164
_symmetry_space_group_name_Hall '-P 3 2"'
_cell_length_a 2.5925
_cell_length_b 2.5925
_cell_length_c 30.8799
_cell_angle_alpha 90.00
_cell_angle_beta 90.00
_cell_angle_gamma 120.00
loop_
_atom_site_label
_atom_site_type_symbol
_atom_site_fract_x
_atom_site_fract_y
_atom_site_fract_z
_atom_site_occupancy
Co1 Co 0.0000 0.0000 0.0000 1
Co2 Co 0.0000 0.0000 0.1931 1
Co3 Co 0.3333 0.6667 0.1298 1
Co4 Co 0.3333 0.6667 0.9353 1
Ge1 Ge 0.3333 0.6667 0.7383 1
```



[6]
Computed powder diffractogram
Compound: CoGe3
Radiation: Cu Ka
Structure: a GGA-PBE-relaxed structure
Intensities are scaled so that the largest is 100.

Most intense lines, 10 to 90 degrees two-theta, by angle:
Position (°2θ), I/Imax, index
26.57, 2, 1 0 1
36.38, 24, 2 0 0
39.42, 27, 0 0 2
41.56, 100, 2 0 1
54.72, 15, 2 0 2
59.70, 2, 3 0 1
65.47, 16, 2 2 0
72.95, 18, 2 0 3
77.27, 2, 4 0 0
79.18, 18, 2 2 2
80.59, 13, 4 0 1
84.83, 3, 0 0 4

Structural model:
```
data_CoGe3
_symmetry_space_group_name_H-M 'P 63/m m c'
_symmetry_Int_Tables_number 194
_symmetry_space_group_name_Hall '-P 6c 2c'
_cell_length_a 5.7029
_cell_length_b 5.7029
_cell_length_c 4.5719
_cell_angle_alpha 90.00
_cell_angle_beta 90.00
_cell_angle_gamma 120.00
loop_
_atom_site_label
_atom_site_type_symbol
_atom_site_fract_x
_atom_site_fract_y
_atom_site_fract_z
_atom_site_occupancy
Co1 Co 0.3333 0.6667 0.2500 1
Ge1 Ge 0.1767 0.3534 0.7500 1
```



[7]
Computed powder diffractogram
Compound: Co15Ge
Radiation: Cu Ka
Structure: a GGA-PBE-relaxed structure
Intensities are scaled so that the largest is 100.

Most intense lines, 10 to 90 degrees two-theta, by angle:
Position (°2θ), I/Imax, index
10.51, 23, 0 4 0
15.80, 5, 0 6 0
43.40, 51, 1 13 -1
44.83, 100, 2 0 0
45.71, 48, 1 14 -1
51.06, 31, 1 13 1
52.04, 31, 2 0 -2
53.12, 30, 1 14 1
75.88, 17, 3 13 -1
76.39, 6, 0 27 0
77.12, 6, 2 0 2
77.55, 18, 3 14 -1

Structural model:
```
data_Co15Ge
_symmetry_space_group_name_H-M 'P 1 2/c 1'
_symmetry_Int_Tables_number 13
_cell_length_a 4.299
_cell_length_b 33.664
_cell_length_c 4.299
_cell_angle_alpha 90.00
_cell_angle_beta 109.75
_cell_angle_gamma 90.00
loop_
_symmetry_equiv_pos_as_xyz
'x,y,z'
'-x,-y,-z'
'-x,y,-z+1/2'
'x,-y,z+1/2'
loop_
_atom_site_label
_atom_site_type_symbol
_atom_site_fract_x
_atom_site_fract_y
_atom_site_fract_z
_atom_site_occupancy
Co1 Co 0.000 0.018 0.250 1
Co2 Co 0.000 0.055 0.750 1
Co3 Co 0.000 0.092 0.250 1
Co4 Co 0.000 0.130 0.750 1
Co5 Co 0.000 0.167 0.250 1
Co6 Co 0.000 0.202 0.750 1
Co7 Co 0.000 0.240 0.250 1
Co8 Co 0.500 0.019 0.750 1
Co9 Co 0.500 0.055 0.250 1
Co10 Co 0.500 0.092 0.750 1
Co11 Co 0.500 0.129 0.250 1
Co12 Co 0.500 0.167 0.750 1
Co13 Co 0.500 0.203 0.250 1
Co14 Co 0.500 0.240 0.750 1
Co15 Co 0.500 0.276 0.250 1
Ge1 Ge 0.000 0.278 0.750 1
```



[8]
Computed powder diffractogram
Compound: Hf6Co16Ge7
Radiation: Cu Ka
Structure: a GGA-PBE-relaxed structure
Intensities are scaled so that the largest is 100.

Most intense lines, 10 to 90 degrees two-theta, by angle:
Position (°2θ), I/Imax, index
26.82, 15, 2 2 2
31.06, 19, 4 0 0
33.93, 25, 3 3 1
38.29, 35, 4 2 2
40.71, 92, 3 3 3
44.50, 100, 4 4 0
47.36, 17, 6 0 0
61.89, 18, 7 3 1
66.45, 15, 7 3 3
69.22, 24, 8 2 2
83.53, 17, 9 3 3
87.65, 18, 7 7 3

Structural model:
```
data_Hf6Co16Ge7
_symmetry_space_group_name_H-M 'F m -3 m'
_symmetry_Int_Tables_number 225
_symmetry_space_group_name_Hall '-F 4 2 3'
_cell_length_a 11.516
_cell_length_b 11.516
_cell_length_c 11.516
_cell_angle_alpha 90.00
_cell_angle_beta 90.00
_cell_angle_gamma 90.00
loop_
_atom_site_label
_atom_site_type_symbol
_atom_site_fract_x
_atom_site_fract_y
_atom_site_fract_z
_atom_site_occupancy
Hf1 Hf 0.000 0.000 0.204 1
Co1 Co 0.120 0.120 0.380 1
Co2 Co 0.169 0.169 0.169 1
Ge1 Ge 0.000 0.000 0.500 1
Ge2 Ge 0.000 0.250 0.250 1
```